This entry pairs a crystal structure of Li2Co2As2N with its theoretical powder X-ray diffraction pattern. Radiation: CuKα. Structure: the GGA-PBE geometry in Alexandria.
Peak positions follow from Bragg's law for the DFT cell and can differ from measured ones.

Cell and atoms:
```
Li2Co2As2N
1.0
-1.8998 1.8998 6.4204
1.8998 -1.8998 6.4204
1.8998 1.8998 -6.4204
Li Co As N
2 2 2 1
Direct
0.1619 0.1619 0.0000 Li
0.8381 0.8381 0.0000 Li
0.0000 0.5000 0.5000 Co
0.5000 0.0000 0.5000 Co
0.3694 0.3694 0.0000 As
0.6306 0.6306 0.0000 As
0.0000 0.0000 0.0000 N
```

Largest 8 diffraction maxima, in order of falling intensity, 2θ from 15° to 90°:
2θ (°)  I (rel.)
43.95  100
31.48  54
24.43  48
47.88  48
36.25  38
86.49  27
77.92  18
58.44  17

---

This entry pairs a crystal structure of Zn4TcBr with its theoretical powder X-ray diffraction pattern. Radiation: CuKα. Structure: the GGA-PBE geometry in Alexandria.
Peak positions follow from Bragg's law for the DFT cell and can differ from measured ones.

Cell and atoms:
```
Zn4TcBr
1.0
0.0000 3.6378 3.6378
3.6378 0.0000 3.6378
3.6378 3.6378 0.0000
Zn Tc Br
4 1 1
Direct
0.3768 0.3768 0.3768 Zn
0.3768 0.3768 0.8696 Zn
0.3768 0.8696 0.3768 Zn
0.8696 0.3768 0.3768 Zn
0.7500 0.7500 0.7500 Tc
0.0000 0.0000 0.0000 Br
```

Largest 8 diffraction maxima, in order of falling intensity, 2θ from 15° to 90°:
2θ (°)  I (rel.)
41.15  100
34.88  36
43.07  32
66.81  30
73.65  25
62.54  13
89.31  11
88.03  11

---

This entry pairs a crystal structure of Ac2Cd12Hg5 with its theoretical powder X-ray diffraction pattern. Radiation: CuKα. Structure: the GGA-PBE geometry in Alexandria.
Peak positions follow from Bragg's law for the DFT cell and can differ from measured ones.

Cell and atoms:
```
Ac2Cd12Hg5
1.0
5.1857 2.9940 5.0335
-5.1857 2.9940 5.0335
0.0000 -5.9880 5.0335
Ac Cd Hg
2 12 5
Direct
0.1697 0.1697 0.1697 Ac
0.8303 0.8303 0.8303 Ac
0.1422 0.1422 0.6675 Cd
0.1422 0.6675 0.1422 Cd
0.1995 0.5000 0.8005 Cd
0.1995 0.8005 0.5000 Cd
0.3325 0.8578 0.8578 Cd
0.5000 0.1995 0.8005 Cd
0.5000 0.8005 0.1995 Cd
0.6675 0.1422 0.1422 Cd
0.8005 0.1995 0.5000 Cd
0.8005 0.5000 0.1995 Cd
0.8578 0.3325 0.8578 Cd
0.8578 0.8578 0.3325 Cd
0.0000 0.5000 0.5000 Hg
0.4007 0.4007 0.4007 Hg
0.5000 0.0000 0.5000 Hg
0.5000 0.5000 0.0000 Hg
0.5993 0.5993 0.5993 Hg
```

Largest 8 diffraction maxima, in order of falling intensity, 2θ from 15° to 90°:
2θ (°)  I (rel.)
34.87  100
34.59  91
39.08  59
35.83  49
29.84  42
35.67  33
61.99  31
63.57  27

---

This entry pairs a crystal structure of Cs2AcGaTe4 with its theoretical powder X-ray diffraction pattern. Radiation: CuKα. Structure: the GGA-PBE geometry in Alexandria.
Peak positions follow from Bragg's law for the DFT cell and can differ from measured ones.

Cell and atoms:
```
Cs2AcGaTe4
1.0
6.8179 -7.1052 0.0000
6.8179 7.1052 0.0000
-6.6175 0.0000 7.5167
Cs Ac Ga Te
4 2 2 8
Direct
0.0000 0.0000 0.0000 Cs
0.0000 0.0000 0.5000 Cs
0.0000 0.5000 0.0000 Cs
0.5000 0.0000 0.5000 Cs
0.5000 0.5000 0.0000 Ac
0.5000 0.5000 0.5000 Ac
0.0000 0.5000 0.5000 Ga
0.5000 0.0000 0.0000 Ga
0.1919 0.6733 0.4874 Te
0.2716 0.3035 0.5535 Te
0.3035 0.2716 0.0535 Te
0.3267 0.8081 0.0126 Te
0.6733 0.1919 0.9874 Te
0.6965 0.7284 0.9465 Te
0.7284 0.6965 0.4465 Te
0.8081 0.3267 0.5126 Te
```

Largest 8 diffraction maxima, in order of falling intensity, 2θ from 15° to 90°:
2θ (°)  I (rel.)
23.67  100
25.07  92
34.75  71
26.15  51
36.54  40
44.41  25
36.05  24
57.35  21

---

This entry pairs a crystal structure of Nd4SmTl with its theoretical powder X-ray diffraction pattern. Radiation: CuKα. Structure: the GGA-PBE geometry in Alexandria.
Peak positions follow from Bragg's law for the DFT cell and can differ from measured ones.

Cell and atoms:
```
Nd4SmTl
1.0
2.8836 -10.7841 0.0000
2.8836 10.7841 0.0000
0.0000 0.0000 6.5779
Nd Sm Tl
8 2 2
Direct
0.0426 0.9574 0.5000 Nd
0.1869 0.8131 0.3373 Nd
0.2493 0.7507 0.8046 Nd
0.4376 0.5624 0.6823 Nd
0.5624 0.4376 0.1823 Nd
0.7507 0.2493 0.3046 Nd
0.8131 0.1869 0.8373 Nd
0.9574 0.0426 0.0000 Nd
0.3638 0.6362 0.1953 Sm
0.6362 0.3638 0.6953 Sm
0.1040 0.8960 0.9421 Tl
0.8960 0.1040 0.4421 Tl
```

Largest 8 diffraction maxima, in order of falling intensity, 2θ from 15° to 90°:
2θ (°)  I (rel.)
29.20  100
31.59  97
31.01  85
35.75  76
28.32  75
42.49  50
59.33  20
55.53  20

---

This entry pairs a crystal structure of Na2Tm2PaTe6 with its theoretical powder X-ray diffraction pattern. Radiation: CuKα. Structure: the GGA-PBE geometry in Alexandria.
Peak positions follow from Bragg's law for the DFT cell and can differ from measured ones.

Cell and atoms:
```
Na2Tm2PaTe6
1.0
3.7898 -6.5493 0.0000
3.7898 6.5493 0.0000
-2.5212 0.0000 7.6501
Na Tm Pa Te
2 2 1 6
Direct
0.1654 0.8346 0.0000 Na
0.8346 0.1654 0.0000 Na
0.3325 0.6675 0.5000 Tm
0.6675 0.3325 0.5000 Tm
0.0000 0.0000 0.5000 Pa
0.0782 0.4122 0.7303 Te
0.2611 0.2611 0.2714 Te
0.4122 0.0782 0.7303 Te
0.5878 0.9218 0.2697 Te
0.7389 0.7389 0.7286 Te
0.9218 0.5878 0.2697 Te
```

Largest 8 diffraction maxima, in order of falling intensity, 2θ from 15° to 90°:
2θ (°)  I (rel.)
28.24  100
39.41  39
41.31  36
50.79  20
23.82  19
64.77  17
36.25  15
43.04  13